(1)
Calculated powder diffractogram
Compound: Hf20Si12B
Radiation: Cu Kα (λ = 1.5418 Å)
Structure: a cell relaxed with GGA-PBE
Lines closer than 0.1° are merged.

Cell: 5.5365 13.6944 7.9085 Å, 90.00 90.08 90.00°
Fractional coordinates of all 33 atoms:
Hf 0.0000 0.1648 0.0000
Hf 0.0000 0.3328 0.5000
Hf 0.0000 0.6672 0.5000
Hf 0.0000 0.8352 0.0000
Hf 0.2442 0.0000 0.7477
Hf 0.2444 0.1246 0.3756
Hf 0.2444 0.8754 0.3756
Hf 0.2494 0.5000 0.2511
Hf 0.2505 0.3742 0.8752
Hf 0.2505 0.6258 0.8752
Hf 0.5000 0.1675 0.0000
Hf 0.5000 0.3345 0.5000
Hf 0.5000 0.6655 0.5000
Hf 0.5000 0.8325 0.0000
Hf 0.7495 0.3742 0.1248
Hf 0.7495 0.6258 0.1248
Hf 0.7506 0.5000 0.7489
Hf 0.7558 0.0000 0.2523
Hf 0.7556 0.1246 0.6244
Hf 0.7556 0.8754 0.6244
Si 0.2475 0.5000 0.6098
Si 0.2491 0.1973 0.6974
Si 0.2491 0.8027 0.6974
Si 0.2501 0.3045 0.1958
Si 0.2501 0.6955 0.1958
Si 0.2521 0.0000 0.1067
Si 0.7479 0.0000 0.8933
Si 0.7499 0.3045 0.8042
Si 0.7499 0.6955 0.8042
Si 0.7509 0.1973 0.3026
Si 0.7509 0.8027 0.3026
Si 0.7525 0.5000 0.3902
B 0.0000 0.0000 0.5000

Top 6 peaks for 2θ from 10° to 80°, sorted by position:
d (Å)  2θ (°)  intensity  h k l
3.218  27.73  63.8  1 3 1
2.588  34.66  54.9  0 4 2
2.566  34.96  47.8  2 1 1
2.345  38.39  100.0  1 4 2
2.283  39.48  52.2  0 6 0
2.268  39.75  97.3  2 3 -1

---

(2)
Calculated powder diffractogram
Compound: HfTaB4
Radiation: Cu Kα (λ = 1.5418 Å)
Structure: a cell relaxed with GGA-PBE
Lines closer than 0.1° are merged.

Cell: 3.1257 3.1257 6.7996 Å, 90.00 90.00 120.00°
Fractional coordinates of all 6 atoms:
Hf 0.0000 0.0000 0.0000
Ta 0.0000 0.0000 0.5000
B 0.3333 0.6667 0.2556
B 0.3333 0.6667 0.7444
B 0.6667 0.3333 0.2556
B 0.6667 0.3333 0.7444

Top 6 peaks for 2θ from 10° to 80°, sorted by position:
d (Å)  2θ (°)  intensity  h k l
3.400  26.21  44.8  0 0 2
2.707  33.09  83.8  1 0 0
2.118  42.70  100.0  1 0 2
1.563  59.11  20.5  1 1 0
1.440  64.76  25.2  1 0 4
1.420  65.76  22.3  1 1 2

---

(3)
Calculated powder diffractogram
Compound: HfTiB4
Radiation: Cu Kα (λ = 1.5418 Å)
Structure: a cell relaxed with GGA-PBE
Lines closer than 0.1° are merged.

Cell: 3.0956 3.0956 6.7044 Å, 90.00 90.00 120.00°
Fractional coordinates of all 6 atoms:
Hf 0.0000 0.0000 0.0000
Ti 0.0000 0.0000 0.5000
B 0.3333 0.6667 0.2625
B 0.3333 0.6667 0.7375
B 0.6667 0.3333 0.2625
B 0.6667 0.3333 0.7375

Top 6 peaks for 2θ from 10° to 80°, sorted by position:
d (Å)  2θ (°)  intensity  h k l
6.704  13.21  79.7  0 0 1
3.352  26.59  38.4  0 0 2
2.681  33.42  77.4  1 0 0
2.489  36.08  49.6  1 0 1
2.094  43.21  100.0  1 0 2
1.421  65.70  22.2  1 0 4